Starting from DFT lattice parameters and positions (GGA+U), the powder diffraction line list of BaMgMn4O8 was computed for Cu Kα, 1.54184 Å.
Intensities are scaled so that the largest is 100.

Most intense lines, 10° ≤ 2θ ≤ 90°, sorted by position:
(hkl), Position (°2θ), d_spacing, intensity
1 0 2, 31.07, 2.879, 100.0
1 1 0, 32.64, 2.743, 97.4
2 -1 1, 34.98, 2.565, 31.7
2 0 2, 45.68, 1.986, 37.6
2 1 2, 57.27, 1.609, 36.2
2 -1 4, 61.38, 1.510, 36.4

a b c (Å): 5.486 5.486 7.237
angles (deg): 90.00 90.00 120.00
Atoms (fractional coordinates):
Ba (0.000, 0.000, 0.000)
Mg (0.000, 0.000, 0.500)
Mn (0.333, 0.667, 0.262)
Mn (0.333, 0.667, 0.738)
Mn (0.667, 0.333, 0.262)
Mn (0.667, 0.333, 0.738)
O (0.000, 0.310, 0.319)
O (0.000, 0.690, 0.681)
O (0.310, 0.000, 0.319)
O (0.310, 0.310, 0.681)
O (0.333, 0.667, 0.000)
O (0.667, 0.333, 0.000)
O (0.690, 0.000, 0.681)
O (0.690, 0.690, 0.319)